[1]
The following is a computed powder diffractogram of CaAc2Sn3Au6. It was derived from a cell relaxed with PBE, using Cu Kα.
Peak positions follow from Bragg's law for the DFT cell and can differ from measured ones.

Structural model:
a b c (Å): 4.727 4.727 16.638
angles (deg): 90.00 90.00 90.00
Atoms (fractional coordinates):
Ca 0.000 0.000 0.000
Ac 0.000 0.000 0.275
Ac 0.000 0.000 0.725
Sn 0.500 0.500 0.187
Sn 0.500 0.500 0.500
Sn 0.500 0.500 0.813
Au 0.000 0.500 0.109
Au 0.000 0.500 0.891
Au 0.500 0.000 0.109
Au 0.500 0.000 0.891
Au 0.500 0.500 0.345
Au 0.500 0.500 0.655

Largest 10 diffraction maxima, in order of falling intensity, 10 to 80 degrees two-theta:
2θ/deg	I_rel
38.1	100
27.2	80
34.4	51
28.8	46
10.6	35
37.6	34
54.9	31
31.2	30
42.6	30
28.6	29

=====

[2]
The following is a computed powder diffractogram of CaAcZnAu. It was derived from a cell relaxed with PBE, using Cu Kα.
Peak positions follow from Bragg's law for the DFT cell and can differ from measured ones.

Structural model:
a b c (Å): 4.682 6.220 6.220
angles (deg): 39.32 90.00 90.00
Atoms (fractional coordinates):
Ca 0.000 0.000 0.000
Ac 0.500 0.281 0.281
Zn 0.500 0.563 0.563
Au 0.000 0.704 0.704

Largest 10 diffraction maxima, in order of falling intensity, 10 to 80 degrees two-theta:
2θ/deg	I_rel
29.6	100
15.1	63
36.9	57
36.2	33
31.3	28
38.5	23
57.6	17
43.2	17
50.4	15
73.1	14